For Ce3NbS3O4, a DFT-relaxed cell (PBE, the Materials Project) gives the simulated X-ray diffraction stick pattern in this record (Cu Kα).

Most intense lines, 10° ≤ 2θ ≤ 90°, low angle first:
index	d (Å)	intensity
0 4 0	3.644	13
2 0 0	3.516	34
1 4 0	3.235	56
1 2 2	3.028	100
2 4 0	2.531	23
2 2 2	2.427	36
0 6 2	2.044	31
3 4 0	1.971	12
3 2 2	1.921	25
0 0 4	1.890	18
2 6 2	1.767	21
1 4 4	1.632	15

Atomic structure:
```
Ce3NbS3O4
1.0
7.0313 0.0000 0.0000
0.0000 14.5743 0.0000
0.0000 0.0000 7.5607
Ce Nb S O
12 4 12 16
Direct
0.2131 0.1572 0.2468 Ce
0.2131 0.1572 0.7532 Ce
0.2169 0.9197 0.5000 Ce
0.2831 0.4197 0.5000 Ce
0.2869 0.6572 0.2468 Ce
0.2869 0.6572 0.7532 Ce
0.7131 0.3428 0.2468 Ce
0.7131 0.3428 0.7532 Ce
0.7169 0.5803 0.5000 Ce
0.7831 0.0803 0.5000 Ce
0.7869 0.8428 0.2468 Ce
0.7869 0.8428 0.7532 Ce
0.2493 0.4304 0.0000 Nb
0.2507 0.9304 0.0000 Nb
0.7493 0.0696 0.0000 Nb
0.7507 0.5696 0.0000 Nb
0.0000 0.5000 0.2465 S
0.0000 0.5000 0.7535 S
0.0066 0.7258 0.5000 S
0.0286 0.2920 0.0000 S
0.4714 0.7920 0.0000 S
0.4934 0.2258 0.5000 S
0.5000 0.0000 0.2465 S
0.5000 0.0000 0.7535 S
0.5066 0.7742 0.5000 S
0.5286 0.2080 0.0000 S
0.9714 0.7080 0.0000 S
0.9934 0.2742 0.5000 S
0.1234 0.8863 0.2076 O
0.1234 0.8863 0.7924 O
0.1330 0.0725 0.5000 O
0.1831 0.0599 0.0000 O
0.3169 0.5599 0.0000 O
0.3670 0.5725 0.5000 O
0.3766 0.3863 0.2076 O
0.3766 0.3863 0.7924 O
0.6234 0.6137 0.2076 O
0.6234 0.6137 0.7924 O
0.6330 0.4275 0.5000 O
0.6831 0.4401 0.0000 O
0.8169 0.9401 0.0000 O
0.8670 0.9275 0.5000 O
0.8766 0.1137 0.2076 O
0.8766 0.1137 0.7924 O
```